The following is a computed X-ray powder pattern of Sr2ScAs4Pt3. It was derived from a DFT-relaxed cell (PBE, Alexandria), using Cu Kα (weighted mean of Kα1 and Kα2).

Peak list (12 most intense, 5° ≤ 2θ ≤ 70°, by intensity)
- (1 0 3), 32.19°, I 100
- (2 0 0), 40.47°, I 99
- (1 1 2), 33.00°, I 86
- (1 1 4), 44.48°, I 68
- (2 1 3), 52.62°, I 50
- (1 0 1), 21.60°, I 49
- (2 2 0), 58.57°, I 33
- (1 1 1), 29.55°, I 31
- (1 0 2), 26.04°, I 30
- (1 0 5), 47.20°, I 26
- (0 0 1), 8.28°, I 25
- (1 1 0), 28.31°, I 22

Cell and atoms:
Cell lengths 4.4580, 4.4580, 10.6749 Å; angles 90.00, 90.00, 90.00 degrees
Fractional positions:
Sr  0.0000  0.5000  0.2348
Sr  0.5000  0.0000  0.7652
Sc  0.0000  0.0000  0.5000
As  0.0000  0.0000  0.0000
As  0.0000  0.5000  0.6425
As  0.5000  0.0000  0.3575
As  0.5000  0.5000  0.0000
Pt  0.0000  0.5000  0.8851
Pt  0.5000  0.0000  0.1149
Pt  0.5000  0.5000  0.5000